Record 1
Starting from a cell relaxed with GGA-PBE, the X-ray powder pattern of CsTb2Te3 was computed for Cu Kα (weighted mean of Kα1 and Kα2).

Largest 10 diffraction maxima, sorted by position, 2θ = 10–90°:
| d/Å | intensity |
| --- | --- |
| 3.569 | 32 |
| 3.537 | 57 |
| 3.429 | 97 |
| 3.203 | 21 |
| 3.083 | 29 |
| 2.992 | 48 |
| 2.934 | 100 |
| 2.334 | 77 |
| 2.224 | 92 |
| 1.785 | 22 |

Cell and atoms:
abc: 8.2268 4.4475 12.1019
angles: 90.00 103.71 90.00
Fractional coordinates of all 12 atoms:
Cs: 0.0303 0.2500 0.3435
Cs: 0.9697 0.7500 0.6565
Tb: 0.2585 0.2500 0.9921
Tb: 0.4980 0.7500 0.3114
Tb: 0.5020 0.2500 0.6886
Tb: 0.7415 0.7500 0.0079
Te: 0.1444 0.7500 0.1359
Te: 0.3288 0.7500 0.5252
Te: 0.3876 0.7500 0.8470
Te: 0.6124 0.2500 0.1530
Te: 0.6712 0.2500 0.4748
Te: 0.8556 0.2500 0.8641

***

Record 2
Starting from a cell relaxed with GGA-PBE, the X-ray powder pattern of Tb5NdPb5 was computed for Cu Kα (weighted mean of Kα1 and Kα2).

Largest 10 diffraction maxima, sorted by position, 2θ = 10–90°:
| d/Å | intensity |
| --- | --- |
| 3.161 | 100 |
| 3.045 | 89 |
| 3.006 | 84 |
| 2.561 | 56 |
| 2.193 | 73 |
| 2.178 | 69 |
| 1.990 | 54 |
| 1.875 | 22 |
| 1.612 | 27 |
| 1.400 | 35 |

Cell and atoms:
abc: 8.4951 8.4951 7.4996
angles: 102.03 102.03 43.69
Fractional coordinates of all 11 atoms:
Tb: 0.0000 0.0000 0.0000
Tb: 0.3319 0.3319 0.6577
Tb: 0.3437 0.3437 0.1601
Tb: 0.6563 0.6563 0.8398
Tb: 0.6681 0.6681 0.3423
Nd: 0.0000 0.0000 0.5000
Pb: 0.1686 0.1686 0.8437
Pb: 0.1697 0.1697 0.3140
Pb: 0.5000 0.5000 0.5000
Pb: 0.8303 0.8303 0.6860
Pb: 0.8314 0.8314 0.1563

***

Record 3
Starting from a cell relaxed with GGA-PBE, the X-ray powder pattern of KInIr was computed for Cu Kα (weighted mean of Kα1 and Kα2).

Largest 10 diffraction maxima, sorted by position, 2θ = 10–90°:
| d/Å | intensity |
| --- | --- |
| 7.781 | 100 |
| 3.078 | 17 |
| 3.007 | 16 |
| 2.539 | 34 |
| 2.370 | 25 |
| 2.267 | 20 |
| 2.051 | 19 |
| 1.682 | 12 |
| 1.399 | 10 |
| 1.298 | 11 |

Cell and atoms:
abc: 4.7400 4.7400 7.7811
angles: 90.00 90.00 90.00
Fractional coordinates of all 6 atoms:
K: 0.2500 0.2500 0.1763
K: 0.7500 0.7500 0.8237
In: 0.2500 0.2500 0.6565
In: 0.7500 0.7500 0.3435
Ir: 0.2500 0.7500 0.5000
Ir: 0.7500 0.2500 0.5000